Li3Mn4B4O12: theoretical X-ray powder pattern (copper Kα), based on a GGA+U-relaxed structure.

Principal peaks in the range 5 to 70 degrees two-theta, by intensity:
| index | 2θ (°) | Rel. int. |
| --- | --- | --- |
| 0 0 2 | 20.27 | 100 |
| 0 2 0 | 34.23 | 99 |
| -1 1 1 | 22.81 | 79 |
| 1 0 -3 | 34.01 | 68 |
| 2 0 -2 | 40.53 | 63 |
| 1 0 1 | 21.99 | 50 |
| 1 -1 1 | 20.82 | 28 |
| 2 -1 2 | 39.89 | 28 |
| -1 3 1 | 51.28 | 27 |
| 1 -1 3 | 34.54 | 27 |
| 1 0 3 | 37.76 | 25 |
| 0 1 -6 | 61.55 | 24 |

Cell and atoms:
```
data_Li3Mn4B4O12
_chemical_formula_sum 'Li3 Mn4 B4 O12'
_cell_length_a 5.285
_cell_length_b 5.874
_cell_length_c 9.044
_cell_angle_alpha 102.84
_cell_angle_beta 90.88
_cell_angle_gamma 113.00
_symmetry_space_group_name_H-M 'P 1'
_symmetry_Int_Tables_number 1
loop_
_symmetry_equiv_pos_as_xyz
'x,y,z'
loop_
_atom_site_label
_atom_site_fract_x
_atom_site_fract_y
_atom_site_fract_z
_atom_site_occupancy
Li1 0.000 0.000 0.000 1
Li2 0.161 0.626 0.939 1
Li3 0.511 0.974 0.501 1
Mn1 0.054 0.072 0.663 1
Mn2 0.134 0.553 0.275 1
Mn3 0.542 0.074 0.174 1
Mn4 0.622 0.570 0.758 1
B1 0.043 0.056 0.341 1
B2 0.145 0.584 0.611 1
B3 0.533 0.064 0.833 1
B4 0.642 0.575 0.096 1
O1 0.172 0.452 0.722 1
O2 0.264 0.984 0.339 1
O3 0.309 0.611 0.499 1
O4 0.363 0.013 0.945 1
O5 0.409 0.635 0.106 1
O6 0.464 0.154 0.713 1
O7 0.718 0.475 0.205 1
O8 0.767 0.008 0.825 1
O9 0.801 0.623 0.977 1
O10 0.887 0.053 0.463 1
O11 0.961 0.703 0.640 1
O12 0.971 0.133 0.217 1
```